Na3In3Ag2: computed powder X-ray diffraction pattern (Cu Kα (weighted mean of Kα1 and Kα2)), based on the PBE geometry in Alexandria.
Peak positions follow from Bragg's law for the DFT cell and can differ from measured ones.

Cell and atoms:
```
data_Na3In3Ag2
_cell_length_a 4.770
_cell_length_b 4.859
_cell_length_c 8.938
_cell_angle_alpha 105.53
_cell_angle_beta 105.23
_cell_angle_gamma 90.31
_space_group_name_H-M_alt 'P -1'
_space_group_IT_number 2
_space_group_name_Hall '-P 1'
loop_
_atom_site_label
_atom_site_type_symbol
_atom_site_fract_x
_atom_site_fract_y
_atom_site_fract_z
Na1 Na 0.000 0.000 0.000
Na2 Na 0.362 0.863 0.727
In1 In 0.145 0.644 0.292
In2 In 0.500 0.500 0.000
Ag1 Ag 0.249 0.245 0.494
```

Peak list (10 most intense, 5° ≤ 2θ ≤ 70°, by angle)
(hkl), d [Å], 2theta, intensity
0 0 1, 8.282, 10.68, 31.0
0 1 0, 4.662, 19.04, 29.2
1 0 -2, 3.609, 24.67, 31.8
1 1 1, 2.633, 34.06, 100.0
1 1 -3, 2.620, 34.22, 32.5
0 2 -1, 2.429, 37.00, 29.5
2 0 -1, 2.385, 37.72, 27.9
1 -1 3, 2.146, 42.10, 10.5
0 0 4, 2.070, 43.72, 12.1
2 -2 0, 1.706, 53.71, 9.6